# 1
Starting from DFT lattice parameters and positions (GGA-PBE), the X-ray powder pattern of K2Hf3TlO8 was computed for a wavelength of 1.5418 Å.
Peak positions follow from Bragg's law for the DFT cell and can differ from measured ones.

Structure:
abc: 7.502 7.502 7.502
angles: 51.56 51.56 51.56
Positions (direct):
1 K 0.000 0.000 0.000
2 K 0.367 0.367 0.367
3 Hf 0.367 0.367 0.876
4 Hf 0.367 0.876 0.367
5 Hf 0.876 0.367 0.367
6 Tl 0.766 0.766 0.766
7 O 0.106 0.106 0.551
8 O 0.106 0.551 0.106
9 O 0.144 0.144 0.144
10 O 0.180 0.625 0.625
11 O 0.551 0.106 0.106
12 O 0.586 0.586 0.586
13 O 0.625 0.180 0.625
14 O 0.625 0.625 0.180

The 10 most intense peaks (2θ from 10° to 90°), sorted by position:
two_theta	intensity
13.65	100
24.14	49
27.83	46
30.67	50
32.01	75
33.01	43
36.78	26
45.79	25
49.44	29
56.42	35

---

# 2
Starting from DFT lattice parameters and positions (GGA-PBE), the X-ray powder pattern of GaCu8Au2 was computed for a wavelength of 1.5418 Å.
Peak positions follow from Bragg's law for the DFT cell and can differ from measured ones.

Structure:
abc: 4.591 4.596 7.141
angles: 90.53 95.35 99.98
Positions (direct):
1 Ga 0.000 0.000 0.000
2 Cu 0.101 0.184 0.361
3 Cu 0.273 0.544 0.090
4 Cu 0.364 0.742 0.458
5 Cu 0.468 0.912 0.822
6 Cu 0.532 0.088 0.178
7 Cu 0.636 0.258 0.542
8 Cu 0.727 0.456 0.910
9 Cu 0.899 0.816 0.639
10 Au 0.185 0.367 0.722
11 Au 0.815 0.633 0.278

The 10 most intense peaks (2θ from 10° to 90°), sorted by position:
two_theta	intensity
22.34	12
41.34	100
41.58	96
47.46	32
48.51	30
48.77	30
70.42	19
71.25	20
84.40	12
85.98	18

---

# 3
Starting from DFT lattice parameters and positions (GGA-PBE), the X-ray powder pattern of CeSmPt was computed for a wavelength of 1.5418 Å.
Peak positions follow from Bragg's law for the DFT cell and can differ from measured ones.

Structure:
abc: 3.991 4.543 8.431
angles: 90.00 90.73 90.00
Positions (direct):
1 Ce 0.204 0.250 0.466
2 Ce 0.796 0.750 0.534
3 Sm 0.255 0.750 0.135
4 Sm 0.745 0.250 0.865
5 Pt 0.266 0.750 0.787
6 Pt 0.734 0.250 0.213

The 10 most intense peaks (2θ from 10° to 90°), sorted by position:
two_theta	intensity
29.80	35
31.58	50
31.81	100
36.61	52
36.96	39
39.46	20
39.68	44
45.45	28
51.75	23
61.89	21

---

# 4
Starting from DFT lattice parameters and positions (GGA-PBE), the X-ray powder pattern of TaNb3Mo6W2 was computed for a wavelength of 1.5418 Å.
Peak positions follow from Bragg's law for the DFT cell and can differ from measured ones.

Structure:
abc: 6.989 6.989 4.565
angles: 108.97 108.97 87.27
Positions (direct):
1 Ta 0.000 0.000 0.000
2 Nb 0.169 0.831 0.500
3 Nb 0.500 0.500 0.500
4 Nb 0.831 0.169 0.500
5 Mo 0.082 0.417 0.249
6 Mo 0.253 0.253 0.753
7 Mo 0.417 0.082 0.249
8 Mo 0.583 0.918 0.751
9 Mo 0.747 0.747 0.247
10 Mo 0.918 0.583 0.751
11 W 0.333 0.667 0.000
12 W 0.667 0.333 0.000

The 10 most intense peaks (2θ from 10° to 90°), sorted by position:
two_theta	intensity
21.81	7
39.48	25
39.67	100
39.90	25
57.31	17
57.45	8
71.73	17
71.82	9
72.11	8
72.29	17

---

# 5
Starting from DFT lattice parameters and positions (GGA-PBE), the X-ray powder pattern of ErZn11Cu was computed for a wavelength of 1.5418 Å.
Peak positions follow from Bragg's law for the DFT cell and can differ from measured ones.

Structure:
abc: 6.756 6.756 6.743
angles: 98.43 98.43 134.88
Positions (direct):
1 Er 0.000 0.000 0.000
2 Zn 0.000 0.000 0.500
3 Zn 0.000 0.500 0.000
4 Zn 0.012 0.361 0.355
5 Zn 0.288 0.503 0.782
6 Zn 0.361 0.012 0.355
7 Zn 0.497 0.712 0.218
8 Zn 0.500 0.000 0.000
9 Zn 0.503 0.288 0.782
10 Zn 0.639 0.988 0.645
11 Zn 0.712 0.497 0.218
12 Zn 0.988 0.639 0.645
13 Cu 0.500 0.500 0.500

The 10 most intense peaks (2θ from 10° to 90°), sorted by position:
two_theta	intensity
28.44	23
34.61	18
35.10	50
40.37	73
40.80	100
40.94	56
45.49	24
46.03	15
66.19	17
74.44	15

---

# 6
Starting from DFT lattice parameters and positions (GGA-PBE), the X-ray powder pattern of SmYAu4 was computed for a wavelength of 1.5418 Å.
Peak positions follow from Bragg's law for the DFT cell and can differ from measured ones.

Structure:
abc: 3.789 3.789 9.151
angles: 90.00 90.00 90.00
Positions (direct):
1 Sm 0.000 0.000 0.000
2 Y 0.500 0.500 0.500
3 Au 0.000 0.000 0.337
4 Au 0.000 0.000 0.663
5 Au 0.500 0.500 0.168
6 Au 0.500 0.500 0.832

The 10 most intense peaks (2θ from 10° to 90°), sorted by position:
two_theta	intensity
25.44	6
33.45	70
37.87	100
48.03	26
62.73	46
70.27	8
71.13	16
80.10	12
80.92	11
82.70	11

---

Which formula does entry 5 have? ErZn11Cu

---

Please write out number 2 again, unchanged.
Starting from DFT lattice parameters and positions (GGA-PBE), the X-ray powder pattern of GaCu8Au2 was computed for a wavelength of 1.5418 Å.
Peak positions follow from Bragg's law for the DFT cell and can differ from measured ones.

Structure:
abc: 4.591 4.596 7.141
angles: 90.53 95.35 99.98
Positions (direct):
1 Ga 0.000 0.000 0.000
2 Cu 0.101 0.184 0.361
3 Cu 0.273 0.544 0.090
4 Cu 0.364 0.742 0.458
5 Cu 0.468 0.912 0.822
6 Cu 0.532 0.088 0.178
7 Cu 0.636 0.258 0.542
8 Cu 0.727 0.456 0.910
9 Cu 0.899 0.816 0.639
10 Au 0.185 0.367 0.722
11 Au 0.815 0.633 0.278

The 10 most intense peaks (2θ from 10° to 90°), sorted by position:
two_theta	intensity
22.34	12
41.34	100
41.58	96
47.46	32
48.51	30
48.77	30
70.42	19
71.25	20
84.40	12
85.98	18